Entry 1:
Starting from a GGA-PBE-relaxed structure, the PXRD pattern of Sr4U2O9 was simulated for CuKα.
Peak positions follow from Bragg's law for the DFT cell and can differ from measured ones.

Most intense lines, 5 to 70 degrees two-theta, in order of rising 2θ:
Position (°2θ), I_rel
20.43, 42
20.53, 18
28.62, 48
29.08, 100
29.17, 100
29.48, 46
41.55, 46
41.77, 24
51.10, 19
52.04, 48

Structure:
Lattice parameters (Å, degrees): 8.7016 10.5528 12.2523 72.97 89.01 66.64
Sites, in units of the cell vectors:
Sr: 0.0000 0.0000 0.0000
Sr: 0.0000 0.0000 0.5000
Sr: 0.0379 0.3489 0.4098
Sr: 0.1115 0.3119 0.9352
Sr: 0.2207 0.0190 0.7295
Sr: 0.2842 0.9846 0.2602
Sr: 0.3359 0.3306 0.6647
Sr: 0.3751 0.6817 0.0731
Sr: 0.4409 0.6448 0.6014
Sr: 0.5591 0.3552 0.3986
Sr: 0.6249 0.3183 0.9269
Sr: 0.6641 0.6694 0.3353
Sr: 0.7158 0.0154 0.7398
Sr: 0.7793 0.9810 0.2705
Sr: 0.8885 0.6881 0.0648
Sr: 0.9621 0.6511 0.5902
U: 0.1673 0.6662 0.3296
U: 0.1697 0.6622 0.8354
U: 0.3340 0.3312 0.1674
U: 0.5000 0.0000 0.0000
U: 0.5000 0.0000 0.5000
U: 0.6660 0.6688 0.8326
U: 0.8303 0.3378 0.1646
U: 0.8327 0.3338 0.6704
O: 0.0597 0.3400 0.6160
O: 0.0657 0.7692 0.1547
O: 0.0895 0.8790 0.3486
O: 0.1214 0.2670 0.1709
O: 0.1548 0.7770 0.6622
O: 0.1584 0.8342 0.8883
O: 0.1795 0.4907 0.7831
O: 0.1907 0.5320 0.0211
O: 0.2357 0.0824 0.4990
O: 0.2470 0.4387 0.2957
O: 0.2727 0.9963 0.0547
O: 0.2755 0.5558 0.5038
O: 0.3827 0.1139 0.8314
O: 0.4006 0.6607 0.2785
O: 0.4215 0.2224 0.0387
O: 0.4591 0.5965 0.8446
O: 0.4765 0.1335 0.3072
O: 0.4910 0.8318 0.4440
O: 0.5090 0.1682 0.5560
O: 0.5235 0.8665 0.6928
O: 0.5409 0.4035 0.1554
O: 0.5785 0.7776 0.9613
O: 0.5994 0.3393 0.7215
O: 0.6173 0.8861 0.1686
O: 0.7245 0.4442 0.4962
O: 0.7273 0.0037 0.9453
O: 0.7530 0.5613 0.7043
O: 0.7643 0.9176 0.5010
O: 0.8093 0.4680 0.9789
O: 0.8205 0.5093 0.2169
O: 0.8416 0.1658 0.1117
O: 0.8452 0.2230 0.3378
O: 0.8786 0.7330 0.8291
O: 0.9105 0.1210 0.6514
O: 0.9343 0.2308 0.8453
O: 0.9403 0.6600 0.3840

***

Entry 2:
Starting from a GGA-PBE-relaxed structure, the PXRD pattern of SrUO4 was simulated for CuKα.
Peak positions follow from Bragg's law for the DFT cell and can differ from measured ones.

Most intense lines, 5 to 70 degrees two-theta, in order of rising 2θ:
Position (°2θ), I_rel
13.85, 33
26.74, 21
27.94, 100
32.37, 46
42.44, 9
46.44, 48
48.72, 9
55.06, 54
57.74, 13
64.72, 7

Structure:
Lattice parameters (Å, degrees): 6.7795 6.7795 6.7795 33.51 33.51 33.51
Sites, in units of the cell vectors:
Sr: 0.0000 0.0000 0.0000
U: 0.5000 0.5000 0.5000
O: 0.1885 0.1885 0.1885
O: 0.3946 0.3946 0.3946
O: 0.6054 0.6054 0.6054
O: 0.8115 0.8115 0.8115

***

Entry 3:
Starting from a GGA-PBE-relaxed structure, the PXRD pattern of Sr2UO4 was simulated for CuKα.
Peak positions follow from Bragg's law for the DFT cell and can differ from measured ones.

Most intense lines, 5 to 70 degrees two-theta, in order of rising 2θ:
Position (°2θ), I_rel
13.71, 41
21.25, 31
28.57, 66
28.95, 100
40.45, 21
40.84, 34
50.84, 44
51.55, 21
58.83, 14
60.00, 17

Structure:
Lattice parameters (Å, degrees): 4.4188 4.4188 12.9171 90.00 90.00 90.00
Sites, in units of the cell vectors:
Sr: 0.0000 0.0000 0.1478
Sr: 0.0000 0.0000 0.8522
Sr: 0.5000 0.5000 0.3522
Sr: 0.5000 0.5000 0.6478
U: 0.0000 0.0000 0.5000
U: 0.5000 0.5000 0.0000
O: 0.0000 0.0000 0.3301
O: 0.0000 0.0000 0.6699
O: 0.0000 0.5000 0.0000
O: 0.0000 0.5000 0.5000
O: 0.5000 0.0000 0.0000
O: 0.5000 0.0000 0.5000
O: 0.5000 0.5000 0.1699
O: 0.5000 0.5000 0.8301

***

Entry 4:
Starting from a GGA-PBE-relaxed structure, the PXRD pattern of SrUO4 was simulated for CuKα.
Peak positions follow from Bragg's law for the DFT cell and can differ from measured ones.

Most intense lines, 5 to 70 degrees two-theta, in order of rising 2θ:
Position (°2θ), I_rel
14.16, 37
26.51, 23
27.78, 100
28.53, 30
32.41, 43
46.00, 36
46.98, 30
54.60, 16
55.03, 30
55.89, 15

Structure:
Lattice parameters (Å, degrees): 6.6585 6.6585 6.6585 34.47 34.47 34.47
Sites, in units of the cell vectors:
Sr: 0.0000 0.0000 0.0000
U: 0.5000 0.5000 0.5000
O: 0.1410 0.1410 0.1410
O: 0.3939 0.3939 0.3939
O: 0.6061 0.6061 0.6061
O: 0.8590 0.8590 0.8590

***

Entry 5:
Starting from a GGA-PBE-relaxed structure, the PXRD pattern of SrUO4 was simulated for CuKα.
Peak positions follow from Bragg's law for the DFT cell and can differ from measured ones.

Most intense lines, 5 to 70 degrees two-theta, in order of rising 2θ:
Position (°2θ), I_rel
15.85, 39
21.71, 22
22.12, 26
26.99, 100
27.33, 89
31.19, 56
32.02, 26
45.30, 48
52.79, 31
53.37, 21

Structure:
Lattice parameters (Å, degrees): 5.5909 8.0366 8.1886 90.00 90.00 90.00
Sites, in units of the cell vectors:
Sr: 0.0193 0.1973 0.2500
Sr: 0.0193 0.3027 0.7500
Sr: 0.9807 0.6973 0.2500
Sr: 0.9807 0.8027 0.7500
U: 0.5000 0.0000 0.0000
U: 0.5000 0.0000 0.5000
U: 0.5000 0.5000 0.0000
U: 0.5000 0.5000 0.5000
O: 0.1983 0.5805 0.5796
O: 0.1983 0.5805 0.9204
O: 0.1983 0.9195 0.0796
O: 0.1983 0.9195 0.4204
O: 0.3326 0.2500 0.0000
O: 0.3326 0.2500 0.5000
O: 0.3664 0.5338 0.2500
O: 0.3664 0.9662 0.7500
O: 0.6336 0.0338 0.2500
O: 0.6336 0.4662 0.7500
O: 0.6674 0.7500 0.0000
O: 0.6674 0.7500 0.5000
O: 0.8017 0.0805 0.5796
O: 0.8017 0.0805 0.9204
O: 0.8017 0.4195 0.0796
O: 0.8017 0.4195 0.4204

***

Entry 6:
Starting from a GGA-PBE-relaxed structure, the PXRD pattern of SrUO4 was simulated for CuKα.
Peak positions follow from Bragg's law for the DFT cell and can differ from measured ones.

Most intense lines, 5 to 70 degrees two-theta, in order of rising 2θ:
Position (°2θ), I_rel
16.77, 42
21.91, 26
26.34, 62
28.16, 100
28.82, 27
29.05, 47
33.92, 34
38.23, 48
43.43, 53
47.62, 27

Structure:
Lattice parameters (Å, degrees): 8.1532 3.5860 6.3672 90.00 123.89 90.00
Sites, in units of the cell vectors:
Sr: 0.0000 0.0000 0.0000
Sr: 0.5000 0.5000 0.0000
U: 0.0000 0.0000 0.5000
U: 0.5000 0.5000 0.5000
O: 0.0863 0.5000 0.3837
O: 0.2295 0.0000 0.8382
O: 0.2705 0.5000 0.1618
O: 0.4137 0.0000 0.6163
O: 0.5863 0.0000 0.3837
O: 0.7295 0.5000 0.8382
O: 0.7705 0.0000 0.1618
O: 0.9137 0.5000 0.6163

***

Entry 7:
Starting from a GGA-PBE-relaxed structure, the PXRD pattern of Sr5U5O18 was simulated for CuKα.
Peak positions follow from Bragg's law for the DFT cell and can differ from measured ones.

Most intense lines, 5 to 70 degrees two-theta, in order of rising 2θ:
Position (°2θ), I_rel
14.09, 100
26.00, 48
27.19, 98
27.36, 95
27.48, 95
28.39, 89
31.92, 46
31.95, 46
32.08, 46
46.63, 52

Structure:
Lattice parameters (Å, degrees): 6.9861 7.8003 8.7784 100.72 98.05 107.37
Sites, in units of the cell vectors:
Sr: 0.0000 0.0000 0.0000
Sr: 0.1987 0.3971 0.4151
Sr: 0.4033 0.8056 0.8066
Sr: 0.5967 0.1944 0.1934
Sr: 0.8013 0.6029 0.5849
U: 0.0000 0.5000 0.0000
U: 0.2066 0.9195 0.4120
U: 0.3782 0.3028 0.8038
U: 0.6218 0.6972 0.1962
U: 0.7934 0.0805 0.5880
O: 0.0099 0.7283 0.1826
O: 0.0261 0.6762 0.8551
O: 0.1418 0.1474 0.5844
O: 0.1733 0.7183 0.5316
O: 0.2436 0.1058 0.2802
O: 0.3346 0.1039 0.9276
O: 0.3347 0.5541 0.0115
O: 0.4502 0.4999 0.6837
O: 0.4900 0.8844 0.3471
O: 0.5100 0.1156 0.6529
O: 0.5498 0.5001 0.3163
O: 0.6653 0.4459 0.9885
O: 0.6654 0.8961 0.0724
O: 0.7564 0.8942 0.7198
O: 0.8267 0.2817 0.4684
O: 0.8582 0.8526 0.4156
O: 0.9739 0.3238 0.1449
O: 0.9901 0.2717 0.8174

***

Entry 8:
Starting from a GGA-PBE-relaxed structure, the PXRD pattern of Sr2UZnO6 was simulated for CuKα.
Peak positions follow from Bragg's law for the DFT cell and can differ from measured ones.

Most intense lines, 5 to 70 degrees two-theta, in order of rising 2θ:
Position (°2θ), I_rel
18.44, 17
18.59, 16
21.36, 12
30.20, 20
30.51, 100
35.97, 14
43.51, 21
53.82, 15
54.32, 28
63.46, 13

Structure:
Lattice parameters (Å, degrees): 5.8479 5.9188 10.1256 90.00 125.28 90.00
Sites, in units of the cell vectors:
Sr: 0.2460 0.0381 0.2510
Sr: 0.2460 0.4619 0.7510
Sr: 0.7540 0.5381 0.2490
Sr: 0.7540 0.9619 0.7490
U: 0.0000 0.0000 0.5000
U: 0.0000 0.5000 0.0000
Zn: 0.5000 0.0000 0.0000
Zn: 0.5000 0.5000 0.5000
O: 0.1609 0.2121 0.9605
O: 0.1609 0.2879 0.4605
O: 0.2532 0.7007 0.9640
O: 0.2532 0.7993 0.4640
O: 0.3212 0.0213 0.7479
O: 0.3212 0.4787 0.2479
O: 0.6788 0.5213 0.7521
O: 0.6788 0.9787 0.2521
O: 0.7468 0.2007 0.5360
O: 0.7468 0.2993 0.0360
O: 0.8391 0.7121 0.5395
O: 0.8391 0.7879 0.0395